Record 1
Starting from the PBE geometry in Alexandria, the X-ray diffraction stick pattern of CsZrCoS3 was computed for copper Kα.
No peak broadening, texture or thermal motion is included.

Atomic structure:
```
CsZrCoS3
1.0
9.247 0.000 0.000
0.000 3.722 0.000
-4.289 0.000 8.634
Cs Zr Co S
2 2 2 6
direct
0.224 0.250 0.249
0.776 0.750 0.751
0.315 0.750 0.839
0.685 0.250 0.161
0.086 0.250 0.600
0.914 0.750 0.400
0.131 0.250 0.854
0.185 0.750 0.540
0.478 0.750 0.146
0.522 0.250 0.854
0.815 0.250 0.460
0.869 0.750 0.146
```

Peak list (6 most intense, 10 to 90 degrees two-theta, most intense first)
2θ/deg	I (rel.)
30.85	100
22.17	76
11.03	47
32.35	44
54.40	44
21.46	40

---

Record 2
Starting from the PBE geometry in Alexandria, the X-ray diffraction stick pattern of CsZrCoS4 was computed for copper Kα.
No peak broadening, texture or thermal motion is included.

Atomic structure:
```
CsZrCoS4
1.0
6.111 0.000 0.000
0.000 6.133 0.000
-3.041 0.000 9.081
Cs Zr Co S
2 2 2 8
direct
0.242 0.250 0.051
0.758 0.750 0.949
0.244 0.250 0.548
0.756 0.750 0.452
0.243 0.750 0.349
0.757 0.250 0.651
0.014 0.504 0.678
0.014 0.996 0.678
0.441 0.750 0.580
0.443 0.750 0.198
0.557 0.250 0.802
0.559 0.250 0.420
0.986 0.004 0.322
0.986 0.496 0.322
```

Peak list (6 most intense, 10 to 90 degrees two-theta, most intense first)
2θ/deg	I (rel.)
32.15	100
21.09	97
25.30	88
29.12	80
42.95	77
34.25	76

---

Record 3
Starting from the PBE geometry in Alexandria, the X-ray diffraction stick pattern of Cs3CoSe3 was computed for copper Kα.
No peak broadening, texture or thermal motion is included.

Atomic structure:
```
Cs3CoSe3
1.0
10.288 -3.814 0.000
10.288 3.814 0.000
0.000 0.000 14.148
Cs Co Se
12 4 12
direct
0.009 0.342 0.872
0.139 0.861 0.830
0.158 0.491 0.628
0.342 0.009 0.128
0.361 0.639 0.330
0.491 0.158 0.372
0.509 0.842 0.628
0.639 0.361 0.670
0.658 0.991 0.872
0.842 0.509 0.372
0.861 0.139 0.170
0.991 0.658 0.128
0.078 0.078 0.500
0.422 0.422 0.000
0.578 0.578 0.000
0.922 0.922 0.500
0.001 0.290 0.611
0.195 0.805 0.573
0.210 0.499 0.889
0.290 0.001 0.389
0.305 0.695 0.073
0.499 0.210 0.111
0.501 0.790 0.889
0.695 0.305 0.927
0.710 0.999 0.611
0.790 0.501 0.111
0.805 0.195 0.427
0.999 0.710 0.389
```

Peak list (6 most intense, 10 to 90 degrees two-theta, most intense first)
2θ/deg	I (rel.)
25.70	100
25.98	92
29.84	74
25.18	70
36.49	69
22.58	51